Record 1
For MgMn4Ag4O16, a crystal structure in Alexandria, relaxed with GGA+U gives the computed powder diffraction line list in this record (λ = 1.5418 Å (Cu Kα)).
Peak positions follow from Bragg's law for the DFT cell and can differ from measured ones.

Principal peaks in the range 2θ from 15° to 90°, low angle first:
2θ 16.4, I 23.3, (1 0 -1); 2θ 17.7, I 25.6, (0 1 1); 2θ 18.2, I 28.6, (1 0 1); 2θ 21.0, I 42.4, (0 0 2); 2θ 27.8, I 57.2, (2 0 0); 2θ 33.3, I 100.0, (1 2 -1); 2θ 34.3, I 54.6, (1 2 1); 2θ 36.1, I 23.1, (1 0 3); 2θ 40.5, I 21.5, (2 2 0); 2θ 57.8, I 27.2, (2 2 -4)

Structure:
Unit cell a=6.4599 b=6.1920 c=8.5217 alpha=90.00 beta=96.11 gamma=90.00
Positions (direct):
Mg 0.0000 0.0000 0.0000
Mn 0.2340 0.0000 0.3762
Mn 0.2493 0.5000 0.1157
Mn 0.7507 0.5000 0.8843
Mn 0.7660 0.0000 0.6238
Ag 0.2575 0.2534 0.7441
Ag 0.2575 0.7466 0.7441
Ag 0.7425 0.2534 0.2559
Ag 0.7425 0.7466 0.2559
O 0.0090 0.0000 0.2433
O 0.0620 0.5000 0.2305
O 0.2249 0.2688 0.0016
O 0.2249 0.7312 0.0016
O 0.2271 0.2196 0.4871
O 0.2271 0.7804 0.4871
O 0.4429 0.0000 0.2827
O 0.4847 0.5000 0.2222
O 0.5153 0.5000 0.7778
O 0.5571 0.0000 0.7173
O 0.7729 0.2196 0.5129
O 0.7729 0.7804 0.5129
O 0.7751 0.2688 0.9984
O 0.7751 0.7312 0.9984
O 0.9380 0.5000 0.7695
O 0.9910 0.0000 0.7567

Record 2
For MgMn4Ag4O16, a crystal structure in Alexandria, relaxed with GGA+U gives the computed powder diffraction line list in this record (λ = 1.5418 Å (Cu Kα)).
Peak positions follow from Bragg's law for the DFT cell and can differ from measured ones.

Principal peaks in the range 2θ from 15° to 90°, low angle first:
2θ 22.6, I 69.4, (1 1 -1); 2θ 23.0, I 71.4, (0 2 1); 2θ 25.6, I 99.9, (1 0 2); 2θ 26.3, I 47.9, (1 2 1); 2θ 26.8, I 44.4, (1 0 -2); 2θ 29.9, I 56.3, (1 1 -2); 2θ 30.0, I 88.1, (1 2 -1); 2θ 30.2, I 100.0, (1 -1 2); 2θ 32.7, I 72.4, (2 0 0); 2θ 34.1, I 40.1, (0 3 0)

Structure:
Unit cell a=5.5262 b=8.0857 c=8.8538 alpha=79.08 beta=85.85 gamma=82.78
Positions (direct):
Mg 0.0000 0.0000 0.0000
Mn 0.0340 0.3450 0.9339
Mn 0.0439 0.5091 0.4444
Mn 0.4519 0.8093 0.0627
Mn 0.5408 0.0139 0.5675
Ag 0.0738 0.0941 0.3333
Ag 0.0792 0.7476 0.7281
Ag 0.5256 0.3323 0.1922
Ag 0.5532 0.4235 0.7357
O 0.0404 0.1954 0.8241
O 0.1867 0.3613 0.3531
O 0.2151 0.5405 0.5795
O 0.2506 0.8175 0.9220
O 0.2625 0.9667 0.5460
O 0.2683 0.9477 0.1572
O 0.3253 0.3778 0.9587
O 0.4935 0.6226 0.1696
O 0.5294 0.1419 0.6873
O 0.6588 0.1035 0.3989
O 0.7033 0.8941 0.9923
O 0.7098 0.8383 0.6306
O 0.7884 0.4423 0.5214
O 0.8480 0.5195 0.8634
O 0.9009 0.2288 0.1024
O 0.9838 0.6828 0.3265